Record 1
# Ho11In6Ge4
Calculated powder diffractogram, Cu Kα. Input: a PBE-relaxed structure.
Kinematic intensities with the Lorentz-polarization factor, no thermal factor.

Unit cell a=11.471 b=11.471 c=11.471 alpha=119.99 beta=119.99 gamma=90.01
Atoms (fractional coordinates):
1 Ho 0.064 0.314 0.750
2 Ho 0.101 0.447 0.346
3 Ho 0.101 0.756 0.654
4 Ho 0.168 0.168 0.000
5 Ho 0.244 0.899 0.346
6 Ho 0.314 0.064 0.750
7 Ho 0.314 0.563 0.250
8 Ho 0.332 0.332 0.664
9 Ho 0.332 0.668 0.000
10 Ho 0.437 0.686 0.750
11 Ho 0.447 0.101 0.346
12 Ho 0.553 0.899 0.654
13 Ho 0.563 0.314 0.250
14 Ho 0.668 0.332 0.000
15 Ho 0.668 0.668 0.336
16 Ho 0.686 0.437 0.750
17 Ho 0.686 0.936 0.250
18 Ho 0.756 0.101 0.654
19 Ho 0.832 0.832 0.000
20 Ho 0.899 0.244 0.346
21 Ho 0.899 0.553 0.654
22 Ho 0.936 0.686 0.250
23 In 0.036 0.036 0.413
24 In 0.036 0.623 0.000
25 In 0.129 0.129 0.258
26 In 0.129 0.871 0.000
27 In 0.377 0.377 0.413
28 In 0.377 0.964 0.000
29 In 0.623 0.036 0.000
30 In 0.623 0.623 0.587
31 In 0.871 0.129 0.000
32 In 0.871 0.871 0.742
33 In 0.964 0.377 0.000
34 In 0.964 0.964 0.587
35 Ge 0.153 0.500 0.653
36 Ge 0.250 0.750 0.500
37 Ge 0.380 0.380 0.000
38 Ge 0.500 0.153 0.653
39 Ge 0.500 0.847 0.347
40 Ge 0.620 0.620 0.000
41 Ge 0.750 0.250 0.500
42 Ge 0.847 0.500 0.347

Most intense lines, 10 to 90 degrees two-theta, by angle:
2.868 Å, intensity 12.5
2.742 Å, intensity 100.0
2.704 Å, intensity 92.9
2.565 Å, intensity 20.6
2.474 Å, intensity 24.2
2.112 Å, intensity 13.3
1.912 Å, intensity 15.6
1.622 Å, intensity 15.9
1.417 Å, intensity 23.0
1.391 Å, intensity 12.8

Record 2
# Ho4Ge9Ir13
Calculated powder diffractogram, Cu Kα. Input: a PBE-relaxed structure.
Kinematic intensities with the Lorentz-polarization factor, no thermal factor.

Unit cell a=3.996 b=11.297 c=19.549 alpha=90.00 beta=90.00 gamma=90.00
Atoms (fractional coordinates):
1 Ho 0.250 0.059 0.207
2 Ho 0.250 0.250 0.023
3 Ho 0.250 0.441 0.207
4 Ho 0.250 0.750 0.519
5 Ho 0.750 0.250 0.481
6 Ho 0.750 0.559 0.793
7 Ho 0.750 0.750 0.977
8 Ho 0.750 0.941 0.793
9 Ge 0.250 0.071 0.415
10 Ge 0.250 0.119 0.731
11 Ge 0.250 0.250 0.601
12 Ge 0.250 0.381 0.731
13 Ge 0.250 0.429 0.415
14 Ge 0.250 0.564 0.919
15 Ge 0.250 0.750 0.100
16 Ge 0.250 0.750 0.735
17 Ge 0.250 0.936 0.919
18 Ge 0.750 0.064 0.081
19 Ge 0.750 0.250 0.265
20 Ge 0.750 0.250 0.900
21 Ge 0.750 0.436 0.081
22 Ge 0.750 0.571 0.585
23 Ge 0.750 0.619 0.269
24 Ge 0.750 0.750 0.399
25 Ge 0.750 0.881 0.269
26 Ge 0.750 0.929 0.585
27 Ir 0.250 0.059 0.540
28 Ir 0.250 0.126 0.858
29 Ir 0.250 0.250 0.342
30 Ir 0.250 0.374 0.858
31 Ir 0.250 0.441 0.540
32 Ir 0.250 0.549 0.046
33 Ir 0.250 0.567 0.665
34 Ir 0.250 0.623 0.354
35 Ir 0.250 0.750 0.227
36 Ir 0.250 0.750 0.859
37 Ir 0.250 0.877 0.354
38 Ir 0.250 0.933 0.665
39 Ir 0.250 0.951 0.046
40 Ir 0.750 0.049 0.954
41 Ir 0.750 0.067 0.335
42 Ir 0.750 0.123 0.646
43 Ir 0.750 0.250 0.141
44 Ir 0.750 0.250 0.773
45 Ir 0.750 0.377 0.646
46 Ir 0.750 0.433 0.335
47 Ir 0.750 0.451 0.954
48 Ir 0.750 0.559 0.460
49 Ir 0.750 0.626 0.142
50 Ir 0.750 0.750 0.658
51 Ir 0.750 0.874 0.142
52 Ir 0.750 0.941 0.460

Most intense lines, 10 to 90 degrees two-theta, by angle:
2.713 Å, intensity 9.6
2.526 Å, intensity 100.0
2.244 Å, intensity 26.6
1.998 Å, intensity 24.3
1.956 Å, intensity 30.7
1.882 Å, intensity 20.1
1.492 Å, intensity 13.0
1.397 Å, intensity 9.4
1.370 Å, intensity 14.0
1.233 Å, intensity 12.3

Record 3
# Ho5Ge10Ir4
Calculated powder diffractogram, Cu Kα. Input: a PBE-relaxed structure.
Kinematic intensities with the Lorentz-polarization factor, no thermal factor.

Unit cell a=13.014 b=13.014 c=4.332 alpha=90.00 beta=90.00 gamma=90.00
Atoms (fractional coordinates):
1 Ho 0.000 0.000 0.000
2 Ho 0.115 0.385 0.500
3 Ho 0.174 0.674 0.500
4 Ho 0.326 0.174 0.500
5 Ho 0.385 0.885 0.500
6 Ho 0.500 0.500 0.000
7 Ho 0.615 0.115 0.500
8 Ho 0.674 0.826 0.500
9 Ho 0.826 0.326 0.500
10 Ho 0.885 0.615 0.500
11 Ge 0.004 0.844 0.500
12 Ge 0.067 0.567 0.000
13 Ge 0.156 0.004 0.500
14 Ge 0.164 0.200 0.000
15 Ge 0.200 0.836 0.000
16 Ge 0.300 0.336 0.000
17 Ge 0.336 0.700 0.000
18 Ge 0.344 0.504 0.500
19 Ge 0.433 0.067 0.000
20 Ge 0.496 0.344 0.500
21 Ge 0.504 0.656 0.500
22 Ge 0.567 0.933 0.000
23 Ge 0.656 0.496 0.500
24 Ge 0.664 0.300 0.000
25 Ge 0.700 0.664 0.000
26 Ge 0.800 0.164 0.000
27 Ge 0.836 0.800 0.000
28 Ge 0.844 0.996 0.500
29 Ge 0.933 0.433 0.000
30 Ge 0.996 0.156 0.500
31 Ir 0.020 0.754 0.000
32 Ir 0.246 0.020 0.000
33 Ir 0.254 0.520 0.000
34 Ir 0.480 0.254 0.000
35 Ir 0.520 0.746 0.000
36 Ir 0.746 0.480 0.000
37 Ir 0.754 0.980 0.000
38 Ir 0.980 0.246 0.000

Most intense lines, 10 to 90 degrees two-theta, by angle:
4.601 Å, intensity 21.6
2.773 Å, intensity 26.6
2.602 Å, intensity 100.0
2.552 Å, intensity 64.0
2.503 Å, intensity 69.6
2.166 Å, intensity 63.1
2.058 Å, intensity 23.4
2.032 Å, intensity 32.3
1.652 Å, intensity 27.2
1.379 Å, intensity 27.1

Record 4
# Ho2Ge4Ir5
Calculated powder diffractogram, Cu Kα. Input: a PBE-relaxed structure.
Kinematic intensities with the Lorentz-polarization factor, no thermal factor.

Unit cell a=8.897 b=8.018 c=5.538 alpha=79.75 beta=62.48 gamma=37.78
Atoms (fractional coordinates):
1 Ho 0.119 0.119 0.881
2 Ho 0.881 0.881 0.119
3 Ge 0.212 0.526 0.474
4 Ge 0.474 0.788 0.212
5 Ge 0.526 0.212 0.788
6 Ge 0.788 0.474 0.526
7 Ir 0.000 0.000 0.500
8 Ir 0.250 0.250 0.250
9 Ir 0.500 0.500 0.000
10 Ir 0.500 0.500 0.500
11 Ir 0.750 0.750 0.750

Most intense lines, 10 to 90 degrees two-theta, by angle:
2.951 Å, intensity 48.4
2.422 Å, intensity 100.0
2.386 Å, intensity 25.6
2.250 Å, intensity 54.2
2.035 Å, intensity 53.9
2.014 Å, intensity 19.2
1.877 Å, intensity 26.6
1.484 Å, intensity 27.6
1.384 Å, intensity 19.9
1.114 Å, intensity 19.9

Record 5
# Ho2Ge2Ir3
Calculated powder diffractogram, Cu Kα. Input: a PBE-relaxed structure.
Kinematic intensities with the Lorentz-polarization factor, no thermal factor.

Unit cell a=5.832 b=3.303 c=8.226 alpha=90.00 beta=109.48 gamma=90.00
Atoms (fractional coordinates):
1 Ho 0.108 0.000 0.244
2 Ho 0.892 0.000 0.756
3 Ge 0.371 0.500 0.744
4 Ge 0.629 0.500 0.256
5 Ir 0.000 0.500 0.500
6 Ir 0.256 0.500 0.011
7 Ir 0.744 0.500 0.989

Most intense lines, 10 to 90 degrees two-theta, by angle:
7.755 Å, intensity 51.6
5.498 Å, intensity 67.1
3.303 Å, intensity 29.3
2.820 Å, intensity 61.9
2.514 Å, intensity 100.0
2.500 Å, intensity 60.5
2.356 Å, intensity 81.2
2.305 Å, intensity 77.6
2.186 Å, intensity 67.2
1.939 Å, intensity 45.1

Record 6
# LaHo2Ge4
Calculated powder diffractogram, Cu Kα. Input: a PBE-relaxed structure.
Kinematic intensities with the Lorentz-polarization factor, no thermal factor.

Unit cell a=9.637 b=9.637 c=9.637 alpha=155.72 beta=153.89 gamma=35.95
Atoms (fractional coordinates):
1 La 0.000 0.000 0.000
2 Ho 0.182 0.682 0.500
3 Ho 0.818 0.318 0.500
4 Ge 0.340 0.840 0.500
5 Ge 0.431 0.431 0.000
6 Ge 0.569 0.569 0.000
7 Ge 0.660 0.160 0.500

Most intense lines, 10 to 90 degrees two-theta, by angle:
3.377 Å, intensity 20.5
3.055 Å, intensity 21.7
2.822 Å, intensity 100.0
2.805 Å, intensity 37.7
2.490 Å, intensity 17.7
2.200 Å, intensity 18.3
2.177 Å, intensity 26.8
2.128 Å, intensity 29.5
2.026 Å, intensity 21.6
1.483 Å, intensity 15.7

Record 7
# LaHoGe2
Calculated powder diffractogram, Cu Kα. Input: a PBE-relaxed structure.
Kinematic intensities with the Lorentz-polarization factor, no thermal factor.

Unit cell a=4.071 b=5.946 c=8.229 alpha=90.00 beta=90.00 gamma=90.00
Atoms (fractional coordinates):
1 La 0.000 0.132 0.000
2 La 0.000 0.868 0.500
3 Ho 0.500 0.370 0.636
4 Ho 0.500 0.630 0.136
5 Ge 0.000 0.395 0.359
6 Ge 0.000 0.605 0.859
7 Ge 0.500 0.119 0.281
8 Ge 0.500 0.881 0.781

Most intense lines, 10 to 90 degrees two-theta, by angle:
3.110 Å, intensity 84.4
2.894 Å, intensity 100.0
2.796 Å, intensity 97.5
2.602 Å, intensity 94.4
2.491 Å, intensity 60.0
2.305 Å, intensity 86.9
2.035 Å, intensity 42.0
1.944 Å, intensity 31.8
1.646 Å, intensity 40.1
1.576 Å, intensity 29.3

Record 8
# La2Ho3Ge4
Calculated powder diffractogram, Cu Kα. Input: a PBE-relaxed structure.
Kinematic intensities with the Lorentz-polarization factor, no thermal factor.

Unit cell a=7.940 b=7.969 c=7.711 alpha=90.00 beta=109.68 gamma=90.00
Atoms (fractional coordinates):
1 La 0.194 0.177 0.070
2 La 0.194 0.323 0.570
3 La 0.806 0.677 0.430
4 La 0.806 0.823 0.930
5 Ho 0.247 0.668 0.248
6 Ho 0.247 0.832 0.748
7 Ho 0.500 0.000 0.500
8 Ho 0.500 0.500 0.000
9 Ho 0.753 0.168 0.252
10 Ho 0.753 0.332 0.752
11 Ge 0.084 0.540 0.854
12 Ge 0.084 0.960 0.354
13 Ge 0.493 0.132 0.864
14 Ge 0.493 0.368 0.364
15 Ge 0.507 0.632 0.636
16 Ge 0.507 0.868 0.136
17 Ge 0.916 0.040 0.646
18 Ge 0.916 0.460 0.146

Most intense lines, 10 to 90 degrees two-theta, by angle:
2.985 Å, intensity 18.7
2.968 Å, intensity 23.2
2.787 Å, intensity 66.1
2.762 Å, intensity 19.7
2.753 Å, intensity 26.6
2.727 Å, intensity 100.0
2.494 Å, intensity 55.8
2.481 Å, intensity 17.6
2.446 Å, intensity 49.5
2.368 Å, intensity 20.1

Record 9
# La5HoGe4
Calculated powder diffractogram, Cu Kα. Input: a PBE-relaxed structure.
Kinematic intensities with the Lorentz-polarization factor, no thermal factor.

Unit cell a=8.468 b=8.468 c=7.111 alpha=91.43 beta=91.43 gamma=35.54
Atoms (fractional coordinates):
1 La 0.000 0.000 0.000
2 La 0.333 0.333 0.490
3 La 0.337 0.337 0.999
4 La 0.663 0.663 0.001
5 La 0.667 0.667 0.510
6 Ho 0.000 0.000 0.500
7 Ge 0.174 0.174 0.749
8 Ge 0.492 0.492 0.735
9 Ge 0.508 0.508 0.265
10 Ge 0.826 0.826 0.251

Most intense lines, 10 to 90 degrees two-theta, by angle:
3.725 Å, intensity 59.0
3.554 Å, intensity 27.5
2.687 Å, intensity 54.1
2.595 Å, intensity 100.0
2.584 Å, intensity 49.8
2.548 Å, intensity 93.7
1.863 Å, intensity 36.7
1.543 Å, intensity 19.6
1.494 Å, intensity 18.1
1.464 Å, intensity 24.3

Record 10
# LaHoGe2
Calculated powder diffractogram, Cu Kα. Input: a PBE-relaxed structure.
Kinematic intensities with the Lorentz-polarization factor, no thermal factor.

Unit cell a=4.058 b=5.958 c=5.958 alpha=43.87 beta=90.00 gamma=90.00
Atoms (fractional coordinates):
1 La 0.000 0.000 0.000
2 Ho 0.500 0.726 0.726
3 Ge 0.000 0.276 0.276
4 Ge 0.500 0.439 0.439

Most intense lines, 10 to 90 degrees two-theta, by angle:
3.271 Å, intensity 21.0
2.894 Å, intensity 100.0
2.838 Å, intensity 35.0
2.763 Å, intensity 30.6
2.326 Å, intensity 57.5
2.284 Å, intensity 14.1
2.225 Å, intensity 26.6
2.029 Å, intensity 20.2
1.733 Å, intensity 15.3
1.499 Å, intensity 15.2

Record 11
# LaHoGeO5
Calculated powder diffractogram, Cu Kα. Input: a PBE-relaxed structure.
Kinematic intensities with the Lorentz-polarization factor, no thermal factor.

Unit cell a=5.970 b=5.970 c=7.618 alpha=102.49 beta=102.49 gamma=107.21
Atoms (fractional coordinates):
1 La 0.168 0.832 0.750
2 La 0.832 0.168 0.250
3 Ho 0.500 0.500 0.000
4 Ho 0.500 0.500 0.500
5 Ge 0.176 0.824 0.250
6 Ge 0.824 0.176 0.750
7 O 0.106 0.226 0.919
8 O 0.168 0.597 0.371
9 O 0.226 0.106 0.419
10 O 0.396 0.604 0.750
11 O 0.403 0.832 0.129
12 O 0.597 0.168 0.871
13 O 0.604 0.396 0.250
14 O 0.774 0.894 0.581
15 O 0.832 0.403 0.629
16 O 0.894 0.774 0.081

Most intense lines, 10 to 90 degrees two-theta, by angle:
3.489 Å, intensity 100.0
3.299 Å, intensity 85.4
2.882 Å, intensity 98.8
2.854 Å, intensity 67.9
2.631 Å, intensity 29.7
2.562 Å, intensity 29.3
2.216 Å, intensity 29.7
1.900 Å, intensity 24.4
1.813 Å, intensity 33.0
1.515 Å, intensity 26.7

Which formula does entry 5 have?
Ho2Ge2Ir3

Repeat the eleventh record exactly.
# LaHoGeO5
Calculated powder diffractogram, Cu Kα. Input: a PBE-relaxed structure.
Kinematic intensities with the Lorentz-polarization factor, no thermal factor.

Unit cell a=5.970 b=5.970 c=7.618 alpha=102.49 beta=102.49 gamma=107.21
Atoms (fractional coordinates):
1 La 0.168 0.832 0.750
2 La 0.832 0.168 0.250
3 Ho 0.500 0.500 0.000
4 Ho 0.500 0.500 0.500
5 Ge 0.176 0.824 0.250
6 Ge 0.824 0.176 0.750
7 O 0.106 0.226 0.919
8 O 0.168 0.597 0.371
9 O 0.226 0.106 0.419
10 O 0.396 0.604 0.750
11 O 0.403 0.832 0.129
12 O 0.597 0.168 0.871
13 O 0.604 0.396 0.250
14 O 0.774 0.894 0.581
15 O 0.832 0.403 0.629
16 O 0.894 0.774 0.081

Most intense lines, 10 to 90 degrees two-theta, by angle:
3.489 Å, intensity 100.0
3.299 Å, intensity 85.4
2.882 Å, intensity 98.8
2.854 Å, intensity 67.9
2.631 Å, intensity 29.7
2.562 Å, intensity 29.3
2.216 Å, intensity 29.7
1.900 Å, intensity 24.4
1.813 Å, intensity 33.0
1.515 Å, intensity 26.7